(1)
Structure and computed powder XRD pattern of Tm6In3Pd (the PBE geometry in Alexandria; Cu Ka).
Peak positions follow from Bragg's law for the DFT cell and can differ from measured ones.

Structural model:
Cell lengths 9.0772, 5.2236, 11.4426 Å; angles 90.00, 108.72, 90.00 degrees
Space group P2_1/m (No. 11)
One atom of each set of equivalent atoms:
Tm 0.0406 0.2500 0.4179 x2
Tm 0.1813 0.7500 0.1677 x2
Tm 0.2715 0.2500 0.0046 x2
Tm 0.3514 0.7500 0.8227 x2
Tm 0.3639 0.2500 0.3361 x2
Tm 0.4020 0.2500 0.6386 x2
In 0.0182 0.7500 0.8776 x2
In 0.1082 0.2500 0.7183 x2
In 0.2778 0.7500 0.4732 x2
Pd 0.4598 0.7500 0.0997 x2

Principal peaks in the range 2θ = 10–90°, in order of falling intensity:
d_spacing	I_rel	hkl
2.613	100	0 2 0
2.604	69	1 1 3
1.507	25	1 3 3
2.719	21	2 0 -4
1.883	16	2 2 -4
2.816	13	2 1 -3
2.412	13	2 1 -4
1.808	11	4 0 2
1.487	11	4 2 2
2.572	8	3 1 -2

(2)
Structure and computed powder XRD pattern of Tm2InPd6 (the PBE geometry in Alexandria; Cu Ka).
Peak positions follow from Bragg's law for the DFT cell and can differ from measured ones.

Structural model:
Cell lengths 7.3745, 14.2741, 3.2726 Å; angles 90.00, 90.00, 90.00 degrees
Space group Cmmm (No. 65)
One atom of each set of equivalent atoms:
Tm 0.0000 0.1903 0.0000 x4
In 0.0000 0.5000 0.5000 x2
Pd 0.1917 0.0000 0.0000 x4
Pd 0.1957 0.3409 0.5000 x8

Principal peaks in the range 2θ = 10–90°, in order of falling intensity:
d_spacing	I_rel	hkl
2.315	100	2 2 1
2.184	92	3 3 0
2.928	69	1 1 1
2.379	57	0 6 0
2.065	50	1 5 1
1.310	36	3 3 2
2.018	34	2 4 1
1.636	24	0 0 2
1.442	22	2 8 1
2.412	21	0 4 1

(3)
Structure and computed powder XRD pattern of TmIn3Pd (the PBE geometry in Alexandria; Cu Ka).
Peak positions follow from Bragg's law for the DFT cell and can differ from measured ones.

Structural model:
Cell lengths 4.5230, 7.3009, 7.1488 Å; angles 90.00, 90.00, 90.00 degrees
Space group Pmmn (No. 59, origin choice 2)
One atom of each set of equivalent atoms:
Tm 0.2500 0.2500 0.2312 x2
In 0.2500 0.0443 0.8078 x4
In 0.2500 0.7500 0.4497 x2
Pd 0.2500 0.7500 0.0652 x2

Principal peaks in the range 2θ = 10–90°, in order of falling intensity:
d_spacing	I_rel	hkl
2.640	100	1 2 1
2.618	75	1 1 2
2.263	52	2 0 0
1.364	16	1 0 5
1.295	14	1 5 2
1.703	13	0 3 3
7.149	13	0 0 1
1.368	13	3 2 1
1.360	13	2 3 3
1.600	12	2 1 3

(4)
Structure and computed powder XRD pattern of Tm2In2Pd5 (the PBE geometry in Alexandria; Cu Ka).
Peak positions follow from Bragg's law for the DFT cell and can differ from measured ones.

Structural model:
Cell lengths 13.8616, 6.1120, 8.4504 Å; angles 90.00, 90.00, 90.00 degrees
Space group Ima2 (No. 46)
One atom of each set of equivalent atoms:
Tm 0.1265 0.0300 0.0000 x8
In 0.0000 0.0000 0.5772 x4
In 0.2500 0.5268 0.9617 x4
Pd 0.0520 0.1854 0.2881 x8
Pd 0.1491 0.7298 0.2356 x8
Pd 0.2500 0.1964 0.7410 x4

Principal peaks in the range 2θ = 10–90°, in order of falling intensity:
d_spacing	I_rel	hkl
2.839	100	4 1 1
2.476	92	0 2 2
2.167	47	5 1 2
2.525	24	5 1 0
2.058	23	4 1 3
2.113	23	0 0 4
2.400	19	2 1 3
1.720	18	4 3 1
1.904	13	2 3 1
2.021	12	2 0 4